Starting from a DFT-relaxed cell (GGA+U, Alexandria), the X-ray diffraction stick pattern of Li4Mn3FeB4O12 was simulated for copper Kα.
Neutral-atom scattering factors, no anomalous dispersion.

Atomic structure:
a = 5.194 Å, b = 5.247 Å, c = 10.869 Å
α = 76.71°, β = 78.93°, γ = 60.75°
Atoms (fractional coordinates):
1 Li 0.000 0.000 0.000
2 Li 0.206 0.924 0.329
3 Li 0.495 0.497 0.510
4 Li 0.712 0.419 0.822
5 Mn 0.323 0.334 0.042
6 Mn 0.819 0.836 0.547
7 Mn 0.880 0.588 0.285
8 Fe 0.387 0.079 0.787
9 B 0.048 0.748 0.795
10 B 0.158 0.169 0.541
11 B 0.541 0.252 0.297
12 B 0.663 0.671 0.029
13 O 0.020 0.014 0.811
14 O 0.199 0.902 0.520
15 O 0.303 0.483 0.824
16 O 0.316 0.237 0.251
17 O 0.384 0.183 0.588
18 O 0.408 0.933 0.994
19 O 0.502 0.520 0.317
20 O 0.699 0.401 0.014
21 O 0.799 0.992 0.329
22 O 0.811 0.743 0.754
23 O 0.887 0.687 0.077
24 O 0.902 0.429 0.508

Main lines, low angle first (5 to 70 degrees two-theta):
2θ 20.3, rel. 63, (1 1 0)
2θ 20.7, rel. 19, (1 0 1)
2θ 22.1, rel. 29, (1 0 -1)
2θ 22.6, rel. 49, (0 1 -1)
2θ 34.0, rel. 100, (0 0 4)
2θ 34.2, rel. 24, (1 2 1)
2θ 34.6, rel. 20, (2 1 1)
2θ 40.0, rel. 22, (2 0 0)
2θ 40.9, rel. 29, (0 2 2)
2θ 61.5, rel. 20, (0 2 6)